Record 1
Structure and theoretical powder diffraction line list of Cd2GaAgO4 (a structure optimized by DFT (GGA-PBE); Cu Ka).

Largest 8 diffraction maxima, by angle, 15 to 90 degrees two-theta:
Position (°2θ)  I/Imax
31.14  100
34.41  28
39.33  9
49.45  16
53.23  26
59.60  29
66.24  10
86.96  10

Structure:
```
Cd2GaAgO4
1.0
0.0000 3.6869 4.5819
3.6858 0.0000 4.5819
3.6858 3.6869 0.0000
Cd Ga Ag O
2 1 1 4
Direct
0.0000 0.0000 0.5000
0.5000 0.5000 0.0000
0.2497 0.2497 0.7503
0.7513 0.7513 0.2487
0.1593 0.5754 0.4246
0.3407 0.9241 0.6593
0.5754 0.1593 0.8407
0.9241 0.3407 0.0759
```

***

Record 2
Structure and theoretical powder diffraction line list of Cd4GaAgPd2 (a structure optimized by DFT (GGA-PBE); Cu Ka).

Largest 8 diffraction maxima, by angle, 15 to 90 degrees two-theta:
Position (°2θ)  I/Imax
23.79  36
32.83  28
35.93  100
40.34  36
40.64  69
41.82  23
45.50  59
63.50  25

Structure:
```
Cd4GaAgPd2
1.0
3.9873 0.0000 0.0000
0.0000 3.9873 0.0000
0.0000 0.0000 10.8011
Cd Ga Ag Pd
4 1 1 2
Direct
0.0000 0.5000 0.1983
0.0000 0.5000 0.8017
0.5000 0.0000 0.1983
0.5000 0.0000 0.8017
0.0000 0.0000 0.5000
0.0000 0.0000 0.0000
0.5000 0.5000 0.3795
0.5000 0.5000 0.6205
```

***

Record 3
Structure and theoretical powder diffraction line list of Pr4CdGa2Ag (a structure optimized by DFT (GGA-PBE); Cu Ka).

Largest 8 diffraction maxima, by angle, 15 to 90 degrees two-theta:
Position (°2θ)  I/Imax
33.47  100
48.06  18
59.71  9
59.87  27
70.23  5
70.41  6
80.09  8
80.22  8

Structure:
```
Pr4CdGa2Ag
1.0
2.6745 1.5441 8.7640
-2.6745 1.5441 8.7640
0.0000 -3.0883 8.7640
Pr Cd Ga Ag
4 1 2 1
Direct
0.1226 0.1226 0.1226
0.3727 0.3727 0.3727
0.6273 0.6273 0.6273
0.8774 0.8774 0.8774
0.5000 0.5000 0.5000
0.2477 0.2477 0.2477
0.7523 0.7523 0.7523
0.0000 0.0000 0.0000
```

***

Record 4
Structure and theoretical powder diffraction line list of Sm4Cd2GaAg (a structure optimized by DFT (GGA-PBE); Cu Ka).

Largest 8 diffraction maxima, by angle, 15 to 90 degrees two-theta:
Position (°2θ)  I/Imax
33.75  100
33.89  99
48.58  35
60.27  18
60.58  54
71.32  11
81.02  15
81.27  15

Structure:
```
Sm4Cd2GaAg
1.0
2.6448 1.5270 8.6926
-2.6448 1.5270 8.6926
0.0000 -3.0539 8.6926
Sm Cd Ga Ag
4 2 1 1
Direct
0.1230 0.1230 0.1230
0.3730 0.3730 0.3730
0.6270 0.6270 0.6270
0.8770 0.8770 0.8770
0.2490 0.2490 0.2490
0.7510 0.7510 0.7510
0.0000 0.0000 0.0000
0.5000 0.5000 0.5000
```

***

Record 5
Structure and theoretical powder diffraction line list of SrCdGaAg2 (a structure optimized by DFT (GGA-PBE); Cu Ka).

Largest 8 diffraction maxima, by angle, 15 to 90 degrees two-theta:
Position (°2θ)  I/Imax
30.01  29
32.03  100
40.29  26
40.50  25
41.53  34
42.78  25
58.46  16
60.36  11

Structure:
```
SrCdGaAg2
1.0
-2.2272 2.2383 5.9975
2.2272 -2.2383 5.9975
2.2272 2.2383 -5.9975
Sr Cd Ga Ag
1 1 1 2
Direct
0.0000 0.0000 0.0000
0.2516 0.7516 0.5000
0.3893 0.3893 0.0000
0.6055 0.6055 0.0000
0.7627 0.2627 0.5000
```

***

Record 6
Structure and theoretical powder diffraction line list of SrCdGa2Ag4 (a structure optimized by DFT (GGA-PBE); Cu Ka).

Largest 8 diffraction maxima, by angle, 15 to 90 degrees two-theta:
Position (°2θ)  I/Imax
31.03  19
33.22  88
38.02  16
39.67  100
40.60  17
52.68  23
67.91  21
71.98  16

Structure:
```
SrCdGa2Ag4
1.0
2.2722 1.3118 9.8727
-2.2722 1.3118 9.8727
0.0000 -2.6237 9.8727
Sr Cd Ga Ag
1 1 2 4
Direct
0.0000 0.0000 0.0000
0.5000 0.5000 0.5000
0.2529 0.2529 0.2529
0.7471 0.7471 0.7471
0.1227 0.1227 0.1227
0.4050 0.4050 0.4050
0.5950 0.5950 0.5950
0.8773 0.8773 0.8773
```

***

Number 1 is which compound? Cd2GaAgO4